[1]
This entry pairs a crystal structure of Li2CoCl5 with its theoretical powder X-ray diffraction pattern. Radiation: a wavelength of 1.5418 Å. Structure: DFT lattice parameters and positions (GGA-PBE).
No peak broadening, texture or thermal motion is included.

Main lines, sorted by position (10 to 80 degrees two-theta):
d 5.929, I = 100, hkl 0 1 0
d 5.224, I = 60, hkl 1 0 0
d 4.896, I = 42, hkl 1 1 0
d 3.230, I = 30, hkl 1 1 -1
d 3.103, I = 20, hkl 1 0 2
d 2.792, I = 20, hkl 2 1 0
d 2.489, I = 26, hkl 1 2 2
d 2.054, I = 19, hkl 0 2 -2

```
data_Li2CoCl5
_cell_length_a 6.1276
_cell_length_b 6.4874
_cell_length_c 6.4887
_cell_angle_alpha 78.59
_cell_angle_beta 66.04
_cell_angle_gamma 66.24
_space_group_name_H-M_alt 'P 1'
_space_group_IT_number 1
loop_
_space_group_symop_operation_xyz
'x,y,z'
loop_
_atom_site_label
_atom_site_fract_x
_atom_site_fract_y
_atom_site_fract_z
Li1 0.0000 0.0000 0.0000
Li2 0.0003 0.4369 0.5629
Co1 0.7642 0.0265 0.5901
Cl1 0.3397 0.1243 0.6866
Cl2 0.6934 0.2709 0.8348
Cl3 0.8383 0.7832 0.3470
Cl4 0.9733 0.7396 0.7729
Cl5 0.9760 0.2083 0.3027
```

[2]
This entry pairs a crystal structure of Si2Ge2Ru with its theoretical powder X-ray diffraction pattern. Radiation: a wavelength of 1.5418 Å. Structure: DFT lattice parameters and positions (GGA-PBE).
No peak broadening, texture or thermal motion is included.

Main lines, sorted by position (10 to 80 degrees two-theta):
d 7.844, I = 93, hkl 0 0 2
d 2.770, I = 45, hkl 1 0 3
d 2.310, I = 34, hkl 1 1 0
d 2.263, I = 100, hkl 1 0 5
d 2.216, I = 75, hkl 1 1 2
d 1.848, I = 35, hkl 1 0 7
d 1.633, I = 28, hkl 2 0 0
d 1.324, I = 35, hkl 2 1 5

```
data_Si2Ge2Ru
_cell_length_a 3.2665
_cell_length_b 3.2665
_cell_length_c 15.6888
_cell_angle_alpha 90.00
_cell_angle_beta 90.00
_cell_angle_gamma 90.00
_space_group_name_H-M_alt 'I 4/m m m'
_space_group_IT_number 139
_space_group_name_Hall '-I 4 2'
loop_
_atom_site_label
_atom_site_fract_x
_atom_site_fract_y
_atom_site_fract_z
Si1 0.0000 0.5000 0.2500
Ge1 0.0000 0.0000 0.0910
Ru1 0.0000 0.0000 0.5000
```

[3]
This entry pairs a crystal structure of DyGe3Pd5 with its theoretical powder X-ray diffraction pattern. Radiation: a wavelength of 1.5418 Å. Structure: DFT lattice parameters and positions (GGA-PBE).
No peak broadening, texture or thermal motion is included.

Main lines, sorted by position (10 to 80 degrees two-theta):
d 6.646, I = 25, hkl 0 2 0
d 2.875, I = 25, hkl 1 3 0
d 2.808, I = 36, hkl 1 3 1
d 2.789, I = 63, hkl 1 1 3
d 2.631, I = 45, hkl 1 3 2
d 2.428, I = 79, hkl 1 1 4
d 2.064, I = 100, hkl 1 5 2
d 1.889, I = 44, hkl 2 0 0

```
data_DyGe3Pd5
_cell_length_a 3.7782
_cell_length_b 13.2929
_cell_length_c 13.0495
_cell_angle_alpha 90.00
_cell_angle_beta 90.00
_cell_angle_gamma 90.00
_space_group_name_H-M_alt 'C m c m'
_space_group_IT_number 63
_space_group_name_Hall '-C 2c 2'
loop_
_atom_site_label
_atom_site_fract_x
_atom_site_fract_y
_atom_site_fract_z
Dy1 0.0000 0.1179 0.2500
Ge1 0.0000 0.1275 0.7500
Ge2 0.0000 0.3791 0.5425
Pd1 0.0000 0.0000 0.0000
Pd2 0.0000 0.2015 0.5744
Pd3 0.0000 0.4559 0.1477
```